1.
The following is a calculated powder X-ray diffraction pattern of La3HgGe. It was derived from a structure optimized by DFT (GGA-PBE), using Cu Kα, 1.54184 Å.

Largest 6 diffraction maxima, sorted by position, 2θ = 10–90°:
2θ = 28.5°, I 94; 2θ = 30.5°, I 100; 2θ = 32.4°, I 63; 2θ = 32.8°, I 58; 2θ = 34.0°, I 99; 2θ = 45.1°, I 51

Cell and atoms:
Cell lengths 6.223, 5.862, 9.253 Å; angles 90.00, 90.00, 90.00 degrees
Fractional positions:
1 La 0.000 0.000 0.000
2 La 0.250 0.000 0.369
3 La 0.250 0.500 0.741
4 La 0.500 0.000 0.000
5 La 0.750 0.000 0.631
6 La 0.750 0.500 0.259
7 Hg 0.250 0.500 0.118
8 Hg 0.750 0.500 0.882
9 Ge 0.250 0.000 0.696
10 Ge 0.750 0.000 0.304

2.
The following is a calculated powder X-ray diffraction pattern of La2Hg3Ge2. It was derived from a structure optimized by DFT (GGA-PBE), using Cu Kα, 1.54184 Å.

Largest 6 diffraction maxima, sorted by position, 2θ = 10–90°:
2θ = 11.9°, I 24; 2θ = 30.4°, I 21; 2θ = 31.6°, I 100; 2θ = 31.9°, I 54; 2θ = 34.9°, I 48; 2θ = 39.5°, I 30

Cell and atoms:
Cell lengths 10.716, 4.565, 7.479 Å; angles 90.00, 94.89, 90.00 degrees
Fractional positions:
1 La 0.122 0.000 0.314
2 La 0.378 0.500 0.686
3 La 0.622 0.500 0.314
4 La 0.878 0.000 0.686
5 Hg 0.000 0.500 0.000
6 Hg 0.185 0.000 0.862
7 Hg 0.315 0.500 0.138
8 Hg 0.500 0.000 0.000
9 Hg 0.685 0.500 0.862
10 Hg 0.815 0.000 0.138
11 Ge 0.095 0.500 0.602
12 Ge 0.405 0.000 0.398
13 Ge 0.595 0.000 0.602
14 Ge 0.905 0.500 0.398

3.
The following is a calculated powder X-ray diffraction pattern of La10Hg3Ge3. It was derived from a structure optimized by DFT (GGA-PBE), using Cu Kα, 1.54184 Å.

Largest 6 diffraction maxima, sorted by position, 2θ = 10–90°:
2θ = 26.2°, I 23; 2θ = 29.6°, I 29; 2θ = 32.5°, I 100; 2θ = 32.8°, I 83; 2θ = 33.7°, I 48; 2θ = 50.4°, I 30

Cell and atoms:
Cell lengths 9.216, 9.216, 6.795 Å; angles 90.00, 90.00, 120.00 degrees
Fractional positions:
1 La 0.000 0.245 0.000
2 La 0.000 0.748 0.500
3 La 0.245 0.000 0.000
4 La 0.252 0.252 0.500
5 La 0.333 0.667 0.221
6 La 0.333 0.667 0.779
7 La 0.667 0.333 0.221
8 La 0.667 0.333 0.779
9 La 0.748 0.000 0.500
10 La 0.755 0.755 0.000
11 Hg 0.000 0.396 0.500
12 Hg 0.396 0.000 0.500
13 Hg 0.604 0.604 0.500
14 Ge 0.000 0.612 0.000
15 Ge 0.388 0.388 0.000
16 Ge 0.612 0.000 0.000

4.
The following is a calculated powder X-ray diffraction pattern of La6Hg5Ge. It was derived from a structure optimized by DFT (GGA-PBE), using Cu Kα, 1.54184 Å.

Largest 6 diffraction maxima, sorted by position, 2θ = 10–90°:
2θ = 32.2°, I 19; 2θ = 32.7°, I 100; 2θ = 46.5°, I 14; 2θ = 57.7°, I 12; 2θ = 58.4°, I 22; 2θ = 68.6°, I 11

Cell and atoms:
Cell lengths 9.583, 9.583, 5.477 Å; angles 106.57, 106.57, 121.09 degrees
Fractional positions:
1 La 0.080 0.396 0.738
2 La 0.231 0.231 0.231
3 La 0.396 0.080 0.738
4 La 0.604 0.920 0.262
5 La 0.769 0.769 0.769
6 La 0.920 0.604 0.262
7 Hg 0.185 0.815 0.000
8 Hg 0.332 0.668 0.500
9 Hg 0.500 0.500 0.000
10 Hg 0.668 0.332 0.500
11 Hg 0.815 0.185 0.000
12 Ge 0.000 0.000 0.500

5.
The following is a calculated powder X-ray diffraction pattern of La4Hg2Ge. It was derived from a structure optimized by DFT (GGA-PBE), using Cu Kα, 1.54184 Å.

Largest 6 diffraction maxima, sorted by position, 2θ = 10–90°:
2θ = 16.1°, I 28; 2θ = 32.6°, I 53; 2θ = 33.4°, I 100; 2θ = 46.8°, I 18; 2θ = 58.7°, I 40; 2θ = 60.3°, I 19

Cell and atoms:
Cell lengths 7.414, 10.979, 5.489 Å; angles 90.00, 90.00, 90.00 degrees
Fractional positions:
1 La 0.226 0.000 0.000
2 La 0.250 0.250 0.500
3 La 0.250 0.750 0.500
4 La 0.274 0.500 0.000
5 La 0.726 0.500 0.000
6 La 0.750 0.250 0.500
7 La 0.750 0.750 0.500
8 La 0.774 0.000 0.000
9 Hg 0.000 0.272 0.000
10 Hg 0.000 0.728 0.000
11 Hg 0.500 0.228 0.000
12 Hg 0.500 0.772 0.000
13 Ge 0.000 0.000 0.500
14 Ge 0.500 0.500 0.500

6.
The following is a calculated powder X-ray diffraction pattern of Li9Hg3Ge2. It was derived from a structure optimized by DFT (GGA-PBE), using Cu Kα, 1.54184 Å.

Largest 6 diffraction maxima, sorted by position, 2θ = 10–90°:
2θ = 18.5°, I 55; 2θ = 22.5°, I 100; 2θ = 30.1°, I 26; 2θ = 35.5°, I 23; 2θ = 36.0°, I 29; 2θ = 37.9°, I 56

Cell and atoms:
Cell lengths 7.941, 7.941, 7.941 Å; angles 148.37, 105.49, 83.19 degrees
Fractional positions:
1 Li 0.000 0.000 0.000
2 Li 0.052 0.855 0.197
3 Li 0.245 0.377 0.867
4 Li 0.342 0.145 0.197
5 Li 0.490 0.623 0.867
6 Li 0.510 0.377 0.133
7 Li 0.658 0.855 0.803
8 Li 0.755 0.623 0.133
9 Li 0.948 0.145 0.803
10 Hg 0.236 0.736 0.500
11 Hg 0.500 0.000 0.500
12 Hg 0.764 0.264 0.500
13 Ge 0.136 0.500 0.636
14 Ge 0.864 0.500 0.364